The following is a calculated X-ray powder pattern of Sc3Ga4. It was derived from a cell relaxed with GGA-PBE, using Cu Kα, 1.54184 Å.

Structure:
```
14
Lattice="5.110 -1.983 0.000 5.110 1.983 0.000 -0.003 0.000 13.344" Properties=species:S:1:pos:R:3 pbc="T T T"
Sc 0.000 0.000 0.000
Sc 0.002 0.000 3.987
Sc 4.062 0.000 10.654
Sc 4.081 0.000 6.666
Sc 7.027 0.000 8.668
Sc 7.264 0.000 1.990
Ga 1.117 0.000 10.633
Ga 1.138 0.000 6.698
Ga 2.943 0.000 0.021
Ga 2.944 0.000 3.958
Ga 4.507 0.000 1.992
Ga 7.137 0.000 11.998
Ga 7.150 0.000 5.328
Ga 9.783 0.000 8.660
```

Main lines, by intensity (15 to 90 degrees two-theta):
d (Å)  Position (°2θ)  Rel. int.
2.477  36.27  100
2.234  40.37  90
2.584  34.72  45
1.983  45.76  39
4.057  21.91  29
2.028  44.68  28
2.215  40.73  22
3.563  24.99  19
1.906  47.72  17
4.772  18.59  17

=====

The following is a calculated X-ray powder pattern of ScGa. It was derived from a cell relaxed with GGA-PBE, using Cu Kα, 1.54184 Å.

Structure:
```
4
Lattice="2.056 -5.133 0.000 2.056 5.133 0.000 0.000 0.000 3.821" Properties=species:S:1:pos:R:3 pbc="T T T"
Sc 2.056 3.715 2.866
Sc 2.056 -3.715 0.955
Ga 2.056 0.857 2.866
Ga 2.056 -0.857 0.955
```

Main lines, by intensity (15 to 90 degrees two-theta):
d (Å)  Position (°2θ)  Rel. int.
2.701  33.17  100
2.167  41.69  96
2.056  44.04  31
2.130  42.43  30
3.818  23.30  28
1.910  47.60  27
2.566  34.96  27
5.133  17.28  21
1.208  79.34  20
1.480  62.81  18

=====

The following is a calculated X-ray powder pattern of Sc3Ga. It was derived from a cell relaxed with GGA-PBE, using Cu Kα, 1.54184 Å.

Structure:
```
16
Lattice="7.183 0.000 0.000 0.000 7.183 0.000 0.000 0.000 7.424" Properties=species:S:1:pos:R:3 pbc="T T T"
Sc 0.000 3.592 0.000
Sc 0.000 3.592 3.712
Sc 1.193 1.193 1.801
Sc 1.193 1.193 5.623
Sc 2.398 4.785 1.911
Sc 2.398 4.785 5.513
Sc 3.592 0.000 0.000
Sc 3.592 0.000 3.712
Sc 4.785 2.398 1.911
Sc 4.785 2.398 5.513
Sc 5.990 5.990 1.801
Sc 5.990 5.990 5.623
Ga 0.923 6.260 3.712
Ga 2.668 2.668 0.000
Ga 4.515 4.515 0.000
Ga 6.260 0.923 3.712
```

Main lines, by intensity (15 to 90 degrees two-theta):
d (Å)  Position (°2θ)  Rel. int.
2.429  37.01  100
5.162  17.18  57
2.272  39.68  46
2.581  34.75  30
4.192  21.19  25
2.403  37.43  20
1.437  64.87  19
1.856  49.08  16
1.255  75.78  12
2.340  38.47  10

=====

The following is a calculated X-ray powder pattern of Sc4Ga3. It was derived from a cell relaxed with GGA-PBE, using Cu Kα, 1.54184 Å.

Structure:
```
14
Lattice="6.347 3.665 1.975 -6.347 3.665 1.975 0.000 -7.329 1.975" Properties=species:S:1:pos:R:3 pbc="T T T"
Sc 0.000 0.000 0.000
Sc -3.481 -3.089 2.889
Sc -4.416 1.470 3.035
Sc 0.935 -4.559 3.035
Sc 0.000 0.000 2.962
Sc -0.935 4.559 2.889
Sc 4.416 -1.470 2.889
Sc 3.481 3.089 3.035
Ga -0.810 -2.461 1.780
Ga -1.726 1.932 1.780
Ga -2.536 -0.529 4.145
Ga 2.536 0.529 1.780
Ga 1.726 -1.932 4.145
Ga 0.810 2.461 4.145
```

Main lines, by intensity (15 to 90 degrees two-theta):
d (Å)  Position (°2θ)  Rel. int.
2.399  37.49  100
2.412  37.28  98
1.701  53.90  30
1.388  67.50  25
1.385  67.64  13
1.395  67.09  12
3.402  26.20  11
2.711  33.04  8
1.200  79.99  7
1.206  79.47  7

=====

The following is a calculated X-ray powder pattern of Sc4GaSe2. It was derived from a cell relaxed with GGA-PBE, using Cu Kα, 1.54184 Å.

Structure:
```
14
Lattice="1.879 -6.284 0.000 1.879 6.284 0.000 0.000 0.000 12.799" Properties=species:S:1:pos:R:3 pbc="T T T"
Sc 0.000 0.000 0.000
Sc 0.000 0.000 6.399
Sc 1.879 2.815 8.038
Sc 1.879 2.815 11.161
Sc 1.879 0.717 3.200
Sc 1.879 -0.717 9.599
Sc 1.879 -2.815 1.638
Sc 1.879 -2.815 4.761
Ga 1.879 4.967 3.200
Ga 1.879 -4.967 9.599
Se 1.879 1.737 0.776
Se 1.879 1.737 5.624
Se 1.879 -1.737 7.175
Se 1.879 -1.737 12.023
```

Main lines, by intensity (15 to 90 degrees two-theta):
d (Å)  Position (°2θ)  Rel. int.
2.733  32.77  100
2.563  35.00  82
3.530  25.23  71
2.086  43.37  70
1.880  48.42  66
2.851  31.37  49
2.798  31.99  43
1.876  48.51  36
1.986  45.68  27
1.570  58.83  23

=====

The following is a calculated X-ray powder pattern of Sc5Ga6Si. It was derived from a cell relaxed with GGA-PBE, using Cu Kα, 1.54184 Å.

Structure:
```
12
Lattice="6.738 -4.132 0.000 6.738 4.132 0.000 -1.273 0.000 3.953" Properties=species:S:1:pos:R:3 pbc="T T T"
Sc 0.000 0.000 0.000
Sc 1.453 0.000 2.655
Sc 4.379 0.000 1.418
Sc 7.824 0.000 2.535
Sc 10.750 0.000 1.299
Ga 3.380 2.107 3.279
Ga 6.101 2.176 1.977
Ga 8.822 2.107 0.674
Ga 3.380 -2.107 3.279
Ga 6.101 -2.176 1.977
Ga 8.822 -2.107 0.674
Si 6.738 0.000 0.000
```

Main lines, by intensity (15 to 90 degrees two-theta):
d (Å)  Position (°2θ)  Rel. int.
2.416  37.21  100
2.077  43.58  16
2.138  42.27  16
2.066  43.82  16
1.255  75.80  11
1.250  76.15  10
1.465  63.52  10
1.486  62.52  9
2.979  29.99  7
4.132  21.51  7